No. 1
For TiTlCrF6, a cell relaxed with PBE+U gives the computed powder XRD pattern in this record (Cu Kα (λ = 1.5418 Å)).
Neutral-atom scattering factors, no anomalous dispersion.

Cell and atoms:
abc: 5.716 5.716 11.579
angles: 90.00 90.00 120.00
Sites, in units of the cell vectors:
1 Ti 0.333 0.667 0.250
2 Ti 0.667 0.333 0.750
3 Tl 0.000 0.000 0.000
4 Tl 0.000 0.000 0.500
5 Cr 0.333 0.667 0.750
6 Cr 0.667 0.333 0.250
7 F 0.031 0.397 0.157
8 F 0.031 0.634 0.343
9 F 0.366 0.397 0.343
10 F 0.366 0.969 0.157
11 F 0.397 0.031 0.657
12 F 0.397 0.366 0.843
13 F 0.603 0.634 0.157
14 F 0.603 0.969 0.343
15 F 0.634 0.031 0.843
16 F 0.634 0.603 0.657
17 F 0.969 0.366 0.657
18 F 0.969 0.603 0.843

Largest 12 diffraction maxima, in order of rising 2θ, 2θ = 10–90°:
2θ (°)	Rel. int.	(hkl)
17.92	22	1 0 0
23.65	100	1 0 2
31.30	23	1 1 0
35.01	12	2 -1 2
35.94	13	1 0 4
36.30	9	2 0 0
39.60	21	2 0 2
44.55	32	1 1 4
50.78	10	1 0 6
51.32	23	2 1 2
55.71	10	3 0 0
70.49	10	4 -1 2

=====

No. 2
For Tl2CrF11, a cell relaxed with PBE+U gives the computed powder XRD pattern in this record (Cu Kα (λ = 1.5418 Å)).
Neutral-atom scattering factors, no anomalous dispersion.

Cell and atoms:
abc: 5.604 7.295 13.504
angles: 104.86 90.03 112.59
Sites, in units of the cell vectors:
1 Tl 0.128 0.408 0.127
2 Tl 0.281 0.410 0.628
3 Tl 0.719 0.590 0.372
4 Tl 0.872 0.592 0.873
5 Cr 0.407 0.001 0.750
6 Cr 0.593 0.999 0.250
7 F 0.000 0.500 0.000
8 F 0.058 0.743 0.462
9 F 0.112 0.473 0.786
10 F 0.128 0.912 0.822
11 F 0.218 0.090 0.678
12 F 0.272 0.747 0.655
13 F 0.313 0.255 0.038
14 F 0.332 0.918 0.322
15 F 0.360 0.471 0.285
16 F 0.414 0.080 0.177
17 F 0.474 0.745 0.155
18 F 0.500 0.500 0.500
19 F 0.526 0.255 0.845
20 F 0.586 0.920 0.823
21 F 0.640 0.529 0.715
22 F 0.668 0.082 0.678
23 F 0.687 0.745 0.962
24 F 0.728 0.253 0.345
25 F 0.782 0.910 0.322
26 F 0.872 0.088 0.178
27 F 0.888 0.527 0.214
28 F 0.942 0.257 0.538

Largest 12 diffraction maxima, in order of rising 2θ, 2θ = 10–90°:
2θ (°)	Rel. int.	(hkl)
13.68	64	0 1 0
19.26	26	1 0 1
20.82	100	1 0 -2
21.94	23	0 1 2
23.23	36	-1 1 2
26.07	33	1 -2 0
27.15	44	0 2 -2
27.53	23	0 0 4
28.42	17	1 1 1
34.83	18	2 0 -1
38.29	21	1 -3 0
42.86	14	2 0 3